LiV2P4H2O16: theoretical X-ray diffraction stick pattern (a wavelength of 1.5418 Å), based on a cell relaxed with GGA+U.
Neutral-atom scattering factors, no anomalous dispersion.

Atomic structure:
```
data_LiV2P4H2O16
_chemical_formula_sum 'Li2 V4 P8 H4 O32'
_space_group_name_H-M_alt 'P 1 21 1'
_space_group_IT_number 4
_space_group_name_Hall 'P 2yb'
_cell_length_a 7.7760
_cell_length_b 7.9241
_cell_length_c 9.7915
_cell_angle_alpha 90.00
_cell_angle_beta 113.47
_cell_angle_gamma 90.00
loop_
_atom_site_label
_atom_site_type_symbol
_atom_site_fract_x
_atom_site_fract_y
_atom_site_fract_z
Li1 Li 0.1052 0.0000 0.2244
V1 V 0.2547 0.3722 0.2526
V2 V 0.2625 0.3605 0.7512
P1 P 0.0111 0.7119 0.0705
P2 P 0.0171 0.7164 0.5733
P3 P 0.4748 0.0054 0.9271
P4 P 0.4848 0.0234 0.4300
H1 H 0.2331 0.8571 0.0108
H2 H 0.2393 0.8574 0.5138
O1 O 0.0672 0.5366 0.1364
O2 O 0.0714 0.5384 0.6447
O3 O 0.0894 0.3145 0.8466
O4 O 0.0932 0.3028 0.3455
O5 O 0.1156 0.2057 0.5953
O6 O 0.1182 0.1941 0.0964
O7 O 0.1874 0.8214 0.0968
O8 O 0.1951 0.8163 0.5962
O9 O 0.3026 0.9075 0.9087
O10 O 0.3063 0.9289 0.4079
O11 O 0.3727 0.5380 0.4075
O12 O 0.3858 0.5218 0.9055
O13 O 0.4067 0.4226 0.6540
O14 O 0.4112 0.4299 0.1561
O15 O 0.4184 0.1902 0.8613
O16 O 0.4395 0.1988 0.3597
```

Principal peaks in the range 10° ≤ 2θ ≤ 80°, in order of falling intensity:
two_theta, intensity
24.9, 100
29.6, 83
16.7, 75
25.7, 70
22.8, 60
33.8, 44
29.4, 31
30.1, 27
27.4, 26
44.6, 21